Entry 1:
Simulated powder X-ray diffraction pattern
Compound: Sr2HoCu3Pb2O8
Radiation: a wavelength of 1.5418 Å
Structure: a DFT-relaxed cell (GGA-PBE, Alexandria)

Structure:
```
32
Lattice="15.9346 0.0000 0.0000 0.0000 5.4574 0.0000 -0.0497 0.0000 5.4170" Properties=species:S:1:pos:R:3 pbc="T T T"
Sr 3.5128 5.4548 0.0344
Sr 3.4880 2.7314 2.7429
Sr 12.3721 0.0027 5.3826
Sr 12.3969 2.7260 2.6741
Ho 0.0000 0.0000 0.0000
Ho -0.0248 2.7287 2.7085
Cu 1.6218 5.4558 2.7261
Cu 1.6466 2.7304 0.0177
Cu 7.9673 0.0000 0.0000
Cu 7.9425 2.7287 2.7085
Cu 14.2631 0.0017 2.6908
Cu 14.2383 2.7271 5.3993
Pb 6.1633 0.0353 2.6891
Pb 6.1385 2.6935 5.3976
Pb 9.7464 2.7640 0.0193
Pb 9.7216 5.4222 2.7278
O 1.4162 4.0936 1.3689
O 1.3913 4.0926 4.0774
O 1.4449 1.3638 1.3691
O 1.4201 1.3649 4.0776
O 3.9961 2.7853 0.0413
O 3.9713 5.4009 2.7498
O 6.1403 0.3284 0.2531
O 6.1155 2.4003 2.9615
O 9.7695 3.0571 2.4554
O 9.7446 5.1290 5.1639
O 11.9136 0.0565 2.6671
O 11.8888 2.6722 5.3756
O 14.4649 4.0925 1.3393
O 14.4400 4.0937 4.0478
O 14.4936 1.3649 1.3395
O 14.4688 1.3639 4.0480
```

The 12 most intense peaks (2θ = 5–70°), by angle:
hkl 2 0 0, 2θ 11.11, intensity 26
hkl 1 1 -1, 2θ 23.80, intensity 59
hkl 5 0 0, 2θ 28.00, intensity 21
hkl 4 1 -1, 2θ 32.25, intensity 96
hkl 4 1 1, 2θ 32.47, intensity 100
hkl 0 2 0, 2θ 32.82, intensity 65
hkl 0 0 2, 2θ 33.07, intensity 65
hkl 6 1 -1, 2θ 41.19, intensity 19
hkl 5 0 -2, 2θ 43.67, intensity 32
hkl 0 2 2, 2θ 47.29, intensity 59
hkl 4 3 1, 2θ 58.40, intensity 37
hkl 4 1 3, 2θ 58.83, intensity 20

=====

Entry 2:
Simulated powder X-ray diffraction pattern
Compound: RbHoCuO2
Radiation: a wavelength of 1.5418 Å
Structure: a DFT-relaxed cell (GGA-PBE, Alexandria)

Structure:
```
10
Lattice="7.5231 0.0000 0.0000 0.0000 5.6492 0.0000 -2.2174 0.0000 6.2801" Properties=species:S:1:pos:R:3 pbc="T T T"
Rb -0.5543 1.1117 1.5700
Rb -1.6630 4.5375 4.7101
Ho 2.0985 2.7786 4.7101
Ho 3.2072 2.8706 1.5700
Cu 3.7615 0.0000 0.0000
Cu 2.6529 0.0000 3.1401
O 1.8771 1.6575 2.8287
O 0.7684 3.9916 5.9688
O 4.5373 1.6575 0.3114
O 3.4286 3.9916 3.4515
```

The 12 most intense peaks (2θ = 5–70°), by angle:
hkl 1 0 0, 2θ 12.48, intensity 100
hkl 1 1 0, 2θ 20.09, intensity 38
hkl 0 1 1, 2θ 21.15, intensity 15
hkl 1 1 -1, 2θ 22.06, intensity 21
hkl 2 0 0, 2θ 25.11, intensity 71
hkl 1 1 -2, 2θ 31.34, intensity 49
hkl 0 1 2, 2θ 32.63, intensity 27
hkl 1 2 0, 2θ 34.17, intensity 47
hkl 2 1 -2, 2θ 35.04, intensity 22
hkl 1 1 2, 2θ 38.46, intensity 30
hkl 3 1 -2, 2θ 42.59, intensity 22
hkl 3 2 0, 2θ 50.32, intensity 21

=====

Entry 3:
Simulated powder X-ray diffraction pattern
Compound: Ho2TiCuO6
Radiation: a wavelength of 1.5418 Å
Structure: a DFT-relaxed cell (GGA-PBE, Alexandria)

Structure:
```
10
Lattice="3.6092 0.0000 0.0000 -1.8046 3.1256 0.0000 0.0000 0.0000 11.3014" Properties=species:S:1:pos:R:3 pbc="T T T"
Ho 0.0000 0.0000 2.5624
Ho 0.0000 0.0000 8.7391
Ti 1.8046 1.0419 5.6507
Cu 0.0000 2.0838 0.0000
O 0.0000 0.0000 0.0000
O 0.0000 0.0000 5.6507
O 0.0000 2.0838 1.8971
O 0.0000 2.0838 9.4043
O 1.8046 1.0419 3.7759
O 1.8046 1.0419 7.5256
```

The 12 most intense peaks (2θ = 5–70°), by angle:
hkl 0 0 1, 2θ 7.82, intensity 18
hkl 0 0 2, 2θ 15.68, intensity 35
hkl 1 0 0, 2θ 28.56, intensity 50
hkl 1 0 1, 2θ 29.65, intensity 24
hkl 0 0 4, 2θ 31.67, intensity 27
hkl 1 0 2, 2θ 32.74, intensity 100
hkl 1 0 3, 2θ 37.38, intensity 17
hkl 1 0 4, 2θ 43.16, intensity 31
hkl 1 0 5, 2θ 49.78, intensity 17
hkl 1 1 0, 2θ 50.58, intensity 40
hkl 1 1 4, 2θ 60.92, intensity 24
hkl 2 0 2, 2θ 61.57, intensity 17